Starting from a DFT-relaxed cell (PBE, Alexandria), the powder diffraction line list of SmTmPa2Rh4 was calculated for Cu Kα X-rays.
Neutral-atom scattering factors, no anomalous dispersion.

The 10 most intense peaks (2θ from 15° to 90°), by angle:
2θ = 28.51°, I 20.1
2θ = 31.74°, I 100.0
2θ = 32.83°, I 61.7
2θ = 35.85°, I 34.0
2θ = 46.31°, I 67.8
2θ = 46.59°, I 20.4
2θ = 47.56°, I 16.9
2θ = 55.46°, I 18.7
2θ = 59.00°, I 17.1
2θ = 68.80°, I 17.6

Cell: 6.869 5.660 6.662 Å, 67.19 49.43 63.38°
Fractional positions:
Sm: 0.000 0.000 0.000
Tm: 0.585 0.585 0.415
Pa: 0.229 0.229 0.271
Pa: 0.729 0.729 0.771
Rh: 0.092 0.483 0.908
Rh: 0.237 0.700 0.300
Rh: 0.483 0.092 0.517
Rh: 0.700 0.237 0.763

---

Starting from a DFT-relaxed cell (PBE, Alexandria), the powder diffraction line list of Pa2Sn8Rh was calculated for Cu Kα X-rays.
Neutral-atom scattering factors, no anomalous dispersion.

The 10 most intense peaks (2θ from 15° to 90°), by angle:
2θ = 19.06°, I 12.1
2θ = 30.80°, I 28.3
2θ = 34.94°, I 100.0
2θ = 36.51°, I 14.6
2θ = 38.67°, I 48.9
2θ = 54.23°, I 19.4
2θ = 55.84°, I 17.4
2θ = 67.17°, I 15.0
2θ = 67.58°, I 30.7
2θ = 68.58°, I 10.5

Cell: 4.657 4.657 12.306 Å, 90.00 90.00 90.00°
Fractional positions:
Pa: 0.000 0.000 0.184
Pa: 0.000 0.000 0.816
Sn: 0.000 0.500 0.000
Sn: 0.000 0.500 0.374
Sn: 0.000 0.500 0.626
Sn: 0.500 0.000 0.000
Sn: 0.500 0.000 0.374
Sn: 0.500 0.000 0.626
Sn: 0.500 0.500 0.188
Sn: 0.500 0.500 0.812
Rh: 0.000 0.000 0.500

---

Starting from a DFT-relaxed cell (PBE, Alexandria), the powder diffraction line list of SrPaRh was calculated for Cu Kα X-rays.
Neutral-atom scattering factors, no anomalous dispersion.

The 10 most intense peaks (2θ from 15° to 90°), by angle:
2θ = 26.99°, I 55.1
2θ = 28.65°, I 100.0
2θ = 29.98°, I 44.0
2θ = 31.58°, I 40.0
2θ = 32.68°, I 56.6
2θ = 35.44°, I 64.4
2θ = 38.87°, I 48.4
2θ = 39.05°, I 65.7
2θ = 40.00°, I 35.9
2θ = 43.10°, I 52.7

Cell: 10.876 10.876 8.054 Å, 93.43 93.43 24.49°
Fractional positions:
Sr: 0.077 0.077 0.335
Sr: 0.408 0.408 0.141
Sr: 0.592 0.592 0.859
Sr: 0.923 0.923 0.665
Pa: 0.216 0.216 0.639
Pa: 0.227 0.227 0.083
Pa: 0.773 0.773 0.917
Pa: 0.784 0.784 0.361
Rh: 0.327 0.327 0.808
Rh: 0.330 0.330 0.465
Rh: 0.670 0.670 0.535
Rh: 0.673 0.673 0.192

---

Starting from a DFT-relaxed cell (PBE, Alexandria), the powder diffraction line list of SrPaRh3 was calculated for Cu Kα X-rays.
Neutral-atom scattering factors, no anomalous dispersion.

The 10 most intense peaks (2θ from 15° to 90°), by angle:
2θ = 15.13°, I 84.5
2θ = 20.05°, I 90.7
2θ = 22.69°, I 72.2
2θ = 29.68°, I 94.4
2θ = 31.70°, I 100.0
2θ = 35.46°, I 75.3
2θ = 36.87°, I 98.3
2θ = 37.15°, I 76.8
2θ = 44.24°, I 82.2
2θ = 44.45°, I 74.3

Cell: 5.681 6.731 6.808 Å, 103.37 94.16 114.71°
Fractional positions:
Sr: 0.000 0.000 0.000
Sr: 0.446 0.826 0.252
Pa: 0.301 0.624 0.683
Pa: 0.750 0.453 0.276
Rh: 0.002 0.848 0.486
Rh: 0.418 0.417 0.897
Rh: 0.433 0.268 0.478
Rh: 0.487 0.021 0.762
Rh: 0.918 0.428 0.957
Rh: 0.928 0.238 0.549

---

Starting from a DFT-relaxed cell (PBE, Alexandria), the powder diffraction line list of Tb4Pa2Rh5 was calculated for Cu Kα X-rays.
Neutral-atom scattering factors, no anomalous dispersion.

The 10 most intense peaks (2θ from 15° to 90°), by angle:
2θ = 33.76°, I 82.4
2θ = 34.29°, I 65.2
2θ = 34.70°, I 56.8
2θ = 35.28°, I 23.6
2θ = 35.47°, I 53.6
2θ = 35.92°, I 100.0
2θ = 39.22°, I 22.5
2θ = 40.73°, I 21.9
2θ = 51.78°, I 21.7
2θ = 58.82°, I 20.8

Cell: 10.588 10.588 10.588 Å, 132.36 60.13 145.50°
Fractional positions:
Tb: 0.055 0.742 0.797
Tb: 0.135 0.117 0.252
Tb: 0.365 0.617 0.983
Tb: 0.445 0.242 0.687
Tb: 0.555 0.758 0.313
Tb: 0.635 0.383 0.017
Tb: 0.865 0.883 0.748
Tb: 0.945 0.258 0.203
Pa: 0.051 0.750 0.301
Pa: 0.449 0.750 0.699
Pa: 0.551 0.250 0.301
Pa: 0.949 0.250 0.699
Rh: 0.082 0.422 0.504
Rh: 0.217 0.808 0.025
Rh: 0.250 0.250 0.000
Rh: 0.283 0.308 0.591
Rh: 0.418 0.922 0.340
Rh: 0.582 0.078 0.660
Rh: 0.717 0.692 0.409
Rh: 0.750 0.750 0.000
Rh: 0.783 0.192 0.975
Rh: 0.918 0.578 0.496

---

Starting from a DFT-relaxed cell (PBE, Alexandria), the powder diffraction line list of TbPa2Rh4 was calculated for Cu Kα X-rays.
Neutral-atom scattering factors, no anomalous dispersion.

The 10 most intense peaks (2θ from 15° to 90°), by angle:
2θ = 24.96°, I 26.0
2θ = 26.09°, I 41.0
2θ = 29.83°, I 45.2
2θ = 32.55°, I 32.0
2θ = 35.07°, I 62.3
2θ = 35.33°, I 78.4
2θ = 37.70°, I 100.0
2θ = 38.46°, I 53.5
2θ = 39.36°, I 31.7
2θ = 41.45°, I 67.1

Cell: 10.743 4.772 11.002 Å, 90.00 90.00 90.00°
Fractional positions:
Tb: 0.168 0.250 0.092
Tb: 0.332 0.750 0.592
Tb: 0.668 0.250 0.408
Tb: 0.832 0.750 0.908
Pa: 0.071 0.750 0.348
Pa: 0.145 0.750 0.853
Pa: 0.355 0.250 0.353
Pa: 0.429 0.250 0.848
Pa: 0.571 0.750 0.152
Pa: 0.645 0.750 0.647
Pa: 0.855 0.250 0.147
Pa: 0.929 0.250 0.652
Rh: 0.009 0.750 0.103
Rh: 0.072 0.750 0.622
Rh: 0.168 0.250 0.487
Rh: 0.216 0.250 0.729
Rh: 0.284 0.750 0.229
Rh: 0.332 0.750 0.987
Rh: 0.428 0.250 0.122
Rh: 0.491 0.250 0.603
Rh: 0.509 0.750 0.397
Rh: 0.572 0.750 0.878
Rh: 0.668 0.250 0.013
Rh: 0.716 0.250 0.771
Rh: 0.784 0.750 0.271
Rh: 0.832 0.750 0.513
Rh: 0.928 0.250 0.378
Rh: 0.991 0.250 0.897